Starting from a DFT-relaxed cell (PBE, Alexandria), the powder diffractogram of La5SmZn6 was computed for λ = 1.5418 Å (Cu Kα).
Neutral-atom scattering factors, no anomalous dispersion.

Most intense lines, 10° ≤ 2θ ≤ 90°, low angle first:
Position (°2θ), I (rel.), h k l
23.78, 12.6, 0 0 2
33.88, 100.0, 2 0 0
48.60, 5.9, 0 0 4
48.71, 11.8, 2 6 0
54.85, 4.6, 1 3 4
60.59, 24.0, 2 0 4
60.70, 12.1, 3 3 2
71.27, 9.1, 2 6 4
81.20, 5.1, 1 3 6
81.36, 7.6, 3 9 2

Crystal structure
```
data_La5SmZn6
_space_group_name_H-M_alt 'C m m m'
_space_group_IT_number 65
_space_group_name_Hall '-C 2 2'
_cell_length_a 5.281
_cell_length_b 15.878
_cell_length_c 7.494
_cell_angle_alpha 90.00
_cell_angle_beta 90.00
_cell_angle_gamma 90.00
loop_
_atom_site_label
_atom_site_type_symbol
_atom_site_fract_x
_atom_site_fract_y
_atom_site_fract_z
La1 La 0.000 0.000 0.000
La2 La 0.000 0.331 0.000
La3 La 0.000 0.333 0.500
Sm1 Sm 0.000 0.000 0.500
Zn1 Zn 0.000 0.163 0.254
Zn2 Zn 0.000 0.500 0.257
```